Record 1
# Ba6Hf5S16
Simulated powder XRD pattern, Cu Kα (λ = 1.5418 Å). Input: a DFT-relaxed cell (GGA-PBE, OQMD).
Lines closer than 0.1° are merged.

a = 28.0501 Å, b = 28.0501 Å, c = 28.0501 Å
α = 169.79°, β = 169.79°, γ = 14.46°
Fractional positions:
Ba  0.0448  0.0448  0.0000
Ba  0.1329  0.1329  0.0000
Ba  0.2180  0.2180  0.0000
Ba  0.7820  0.7820  0.0000
Ba  0.8671  0.8671  0.0000
Ba  0.9552  0.9552  0.0000
Hf  0.3185  0.3185  0.0000
Hf  0.4096  0.4096  0.0000
Hf  0.5000  0.5000  0.0000
Hf  0.5904  0.5904  0.0000
Hf  0.6815  0.6815  0.0000
S  0.0000  0.5000  0.5000
S  0.0899  0.5899  0.5000
S  0.1790  0.6790  0.5000
S  0.2740  0.2740  0.0000
S  0.3210  0.8210  0.5000
S  0.3649  0.3649  0.0000
S  0.4101  0.9101  0.5000
S  0.4550  0.4550  0.0000
S  0.5000  0.0000  0.5000
S  0.5450  0.5450  0.0000
S  0.5899  0.0899  0.5000
S  0.6351  0.6351  0.0000
S  0.6790  0.1790  0.5000
S  0.7260  0.7260  0.0000
S  0.8210  0.3210  0.5000
S  0.9101  0.4101  0.5000

Largest 10 diffraction maxima, low angle first, 10° ≤ 2θ ≤ 90°:
two_theta  I/Imax
25.06  100
25.22  59
35.49  22
35.97  48
44.04  20
44.34  45
51.43  28
51.79  16
58.41  22
64.35  14


Record 2
# CsSb5Pd3
Simulated powder XRD pattern, Cu Kα (λ = 1.5418 Å). Input: a DFT-relaxed cell (GGA-PBE, OQMD).
Lines closer than 0.1° are merged.

a = 5.7081 Å, b = 5.7081 Å, c = 9.2404 Å
α = 90.00°, β = 90.00°, γ = 120.00°
Fractional positions:
Cs  0.0000  0.0000  0.0000
Sb  0.0000  0.0000  0.5000
Sb  0.3333  0.6667  0.2586
Sb  0.3333  0.6667  0.7414
Sb  0.6667  0.3333  0.2586
Sb  0.6667  0.3333  0.7414
Pd  0.0000  0.5000  0.5000
Pd  0.5000  0.0000  0.5000
Pd  0.5000  0.5000  0.5000

Largest 10 diffraction maxima, low angle first, 10° ≤ 2θ ≤ 90°:
two_theta  I/Imax
26.40  74
31.34  64
37.02  24
38.99  33
41.43  100
50.85  31
52.86  24
65.40  21
72.28  18
78.84  24


Record 3
# LiNpF5
Simulated powder XRD pattern, Cu Kα (λ = 1.5418 Å). Input: a DFT-relaxed cell (GGA-PBE, OQMD).
Lines closer than 0.1° are merged.

a = 10.7370 Å, b = 10.7370 Å, c = 10.7370 Å
α = 95.05°, β = 95.05°, γ = 145.48°
Fractional positions:
Li  0.1600  0.0542  0.2669
Li  0.2873  0.8930  0.2331
Li  0.3930  0.6600  0.6057
Li  0.4458  0.2127  0.1057
Li  0.5542  0.7873  0.8943
Li  0.6070  0.3400  0.3943
Li  0.7127  0.1070  0.7669
Li  0.8400  0.9458  0.7331
Np  0.1850  0.6925  0.8813
Np  0.1925  0.8111  0.5075
Np  0.1963  0.3150  0.0075
Np  0.3111  0.3037  0.6187
Np  0.6889  0.6963  0.3813
Np  0.8037  0.6850  0.9925
Np  0.8075  0.1889  0.4925
Np  0.8150  0.3075  0.1187
F  0.0299  0.6078  0.2908
F  0.0396  0.0686  0.1194
F  0.0528  0.3468  0.1187
F  0.0896  0.0812  0.4095
F  0.1078  0.3170  0.5779
F  0.1515  0.9251  0.1195
F  0.1532  0.7719  0.7060
F  0.1717  0.6801  0.0905
F  0.1801  0.5896  0.5085
F  0.1830  0.2610  0.7908
F  0.2390  0.5299  0.9221
F  0.2719  0.0659  0.6187
F  0.3056  0.0320  0.3805
F  0.4188  0.3283  0.0085
F  0.4202  0.5396  0.4710
F  0.4251  0.8056  0.7736
F  0.4314  0.0508  0.9710
F  0.4341  0.5528  0.2060
F  0.4492  0.9202  0.3806
F  0.4680  0.3485  0.2736
F  0.5320  0.6515  0.7264
F  0.5508  0.0798  0.6194
F  0.5659  0.4472  0.7940
F  0.5686  0.9492  0.0290
F  0.5749  0.1944  0.2264
F  0.5798  0.4604  0.5290
F  0.5812  0.6717  0.9915
F  0.6944  0.9680  0.6195
F  0.7281  0.9341  0.3813
F  0.7610  0.4701  0.0779
F  0.8170  0.7390  0.2092
F  0.8199  0.4104  0.4915
F  0.8283  0.3199  0.9095
F  0.8468  0.2281  0.2940
F  0.8485  0.0749  0.8805
F  0.8922  0.6830  0.4221
F  0.9104  0.9188  0.5905
F  0.9472  0.6532  0.8813
F  0.9604  0.9314  0.8806
F  0.9701  0.3922  0.7092

Largest 10 diffraction maxima, low angle first, 10° ≤ 2θ ≤ 90°:
two_theta  I/Imax
17.30  78
19.53  100
23.10  51
26.20  51
27.51  69
29.00  52
30.65  61
33.96  25
45.09  34
45.41  58


Record 4
# NaGdNiTe3
Simulated powder XRD pattern, Cu Kα (λ = 1.5418 Å). Input: a DFT-relaxed cell (GGA-PBE, OQMD).
Lines closer than 0.1° are merged.

a = 8.9279 Å, b = 4.2316 Å, c = 9.8899 Å
α = 90.00°, β = 105.45°, γ = 90.00°
Fractional positions:
Na  0.2075  0.2500  0.2538
Na  0.7925  0.7500  0.7462
Gd  0.3191  0.7500  0.8531
Gd  0.6809  0.2500  0.1469
Ni  0.0947  0.2500  0.6061
Ni  0.9053  0.7500  0.3939
Te  0.0709  0.2500  0.8570
Te  0.1921  0.7500  0.5213
Te  0.4390  0.7500  0.1759
Te  0.5611  0.2500  0.8241
Te  0.8079  0.2500  0.4787
Te  0.9291  0.7500  0.1430

Largest 10 diffraction maxima, low angle first, 10° ≤ 2θ ≤ 90°:
two_theta  I/Imax
11.88  100
23.43  27
28.08  53
29.33  98
29.61  37
34.61  41
38.17  31
42.74  30
43.79  45
51.92  19


Record 5
# Na2ZrH6O6
Simulated powder XRD pattern, Cu Kα (λ = 1.5418 Å). Input: a DFT-relaxed cell (GGA-PBE, OQMD).
Lines closer than 0.1° are merged.

a = 5.7482 Å, b = 5.7482 Å, c = 5.7482 Å
α = 61.36°, β = 61.36°, γ = 61.36°
Fractional positions:
Na  0.1656  0.1656  0.1656
Na  0.8344  0.8344  0.8344
Zr  0.5000  0.5000  0.5000
H  0.0602  0.3332  0.6466
H  0.3332  0.6466  0.0602
H  0.3534  0.9398  0.6668
H  0.6466  0.0602  0.3332
H  0.6668  0.3534  0.9398
H  0.9398  0.6668  0.3534
O  0.1153  0.4161  0.7176
O  0.2824  0.8847  0.5839
O  0.4161  0.7176  0.1153
O  0.5839  0.2824  0.8847
O  0.7176  0.1153  0.4161
O  0.8847  0.5839  0.2824

Largest 10 diffraction maxima, low angle first, 10° ≤ 2θ ≤ 90°:
two_theta  I/Imax
18.59  63
19.11  52
21.65  39
30.48  22
36.22  100
50.10  44
54.17  26
57.97  16
66.91  13
68.55  15


Record 6
# NdFeSi2Tc
Simulated powder XRD pattern, Cu Kα (λ = 1.5418 Å). Input: a DFT-relaxed cell (GGA-PBE, OQMD).
Lines closer than 0.1° are merged.

a = 4.0734 Å, b = 4.0734 Å, c = 10.2429 Å
α = 90.00°, β = 90.00°, γ = 90.00°
Fractional positions:
Nd  0.0000  0.0000  0.0000
Nd  0.5000  0.5000  0.5000
Fe  0.0000  0.5000  0.7500
Fe  0.5000  0.0000  0.2500
Si  0.0000  0.0000  0.3736
Si  0.0000  0.0000  0.6264
Si  0.5000  0.5000  0.1264
Si  0.5000  0.5000  0.8736
Tc  0.0000  0.5000  0.2500
Tc  0.5000  0.0000  0.7500

Largest 10 diffraction maxima, low angle first, 10° ≤ 2θ ≤ 90°:
two_theta  I/Imax
23.50  39
34.27  44
35.04  18
35.77  100
44.48  38
49.82  15
57.33  20
57.85  16
63.33  19
76.21  21


Record 7
# Ag17Sb
Simulated powder XRD pattern, Cu Kα (λ = 1.5418 Å). Input: a DFT-relaxed cell (GGA-PBE, OQMD).
Lines closer than 0.1° are merged.

a = 5.7998 Å, b = 5.7998 Å, c = 32.5010 Å
α = 90.00°, β = 90.00°, γ = 120.00°
Fractional positions:
Ag  0.0000  0.0000  0.0000
Ag  0.0000  0.0000  0.2227
Ag  0.0000  0.0000  0.7773
Ag  0.0000  0.5000  0.0000
Ag  0.0022  0.5011  0.2234
Ag  0.1667  0.3334  0.1485
Ag  0.1668  0.3335  0.7009
Ag  0.1668  0.3337  0.9256
Ag  0.1667  0.8333  0.1485
Ag  0.1668  0.8332  0.7009
Ag  0.1668  0.8332  0.9256
Ag  0.3334  0.1667  0.8515
Ag  0.3333  0.6667  0.0744
Ag  0.3333  0.6667  0.8506
Ag  0.3337  0.1668  0.0744
Ag  0.3335  0.1668  0.2991
Ag  0.4989  0.5011  0.2234
Ag  0.4989  0.9978  0.2234
Ag  0.5000  0.0000  0.0000
Ag  0.5000  0.5000  0.0000
Ag  0.5011  0.0022  0.7766
Ag  0.5011  0.4989  0.7766
Ag  0.6665  0.8332  0.7009
Ag  0.6663  0.8332  0.9256
Ag  0.6667  0.3333  0.1494
Ag  0.6667  0.3333  0.9256
Ag  0.6666  0.8333  0.1485
Ag  0.8332  0.1668  0.0744
Ag  0.8332  0.1668  0.2991
Ag  0.8333  0.1667  0.8515
Ag  0.8332  0.6663  0.0744
Ag  0.8332  0.6665  0.2991
Ag  0.8333  0.6666  0.8515
Ag  0.9978  0.4989  0.7766
Sb  0.3333  0.6667  0.3068
Sb  0.6667  0.3333  0.6932

Largest 10 diffraction maxima, low angle first, 10° ≤ 2θ ≤ 90°:
two_theta  I/Imax
35.92  45
37.48  100
38.43  82
38.79  21
42.31  24
43.91  83
63.45  25
64.26  34
75.85  26
77.64  15


Number 1 is which compound? Ba6Hf5S16